# Li7NiO4F2
Simulated PXRD pattern, Cu Kα X-rays. Input: a DFT-relaxed cell (GGA+U, Alexandria).
No peak broadening, texture or thermal motion is included.

Principal peaks in the range 5° ≤ 2θ ≤ 70°, most intense first:
| index | 2θ/deg | Rel. int. |
| --- | --- | --- |
| 0 0 1 | 8.89 | 100 |
| 1 0 0 | 18.20 | 33 |
| 1 1 1 | 20.76 | 30 |
| 0 1 1 | 17.88 | 27 |
| 0 1 2 | 22.86 | 23 |
| 1 0 -3 | 34.53 | 21 |
| 1 0 -1 | 21.26 | 18 |
| -1 1 1 | 29.71 | 13 |
| 2 1 1 | 35.10 | 13 |
| 2 2 2 | 42.28 | 12 |
| 1 0 -4 | 42.79 | 11 |
| 1 -2 2 | 48.10 | 11 |

Structural model:
a b c (Å): 5.181 5.653 10.180
angles (deg): 79.99 80.24 71.44
Space group P1 (No. 1)
Symmetry-distinct sites (fractional):
Li: 0.000 0.000 0.000 [1 per cell]
Li: 0.002 0.549 0.006 [1 per cell]
Li: 0.013 0.706 0.248 [1 per cell]
Li: 0.019 0.808 0.751 [1 per cell]
Li: 0.022 0.322 0.729 [1 per cell]
Li: 0.410 0.255 0.551 [1 per cell]
Li: 0.480 0.689 0.617 [1 per cell]
Li: 0.511 0.559 0.347 [1 per cell]
Li: 0.514 0.381 0.154 [1 per cell]
Li: 0.532 0.181 0.858 [1 per cell]
Li: 0.540 0.039 0.343 [1 per cell]
Li: 0.556 0.691 0.887 [1 per cell]
Li: 0.606 0.854 0.110 [1 per cell]
Li: 0.976 0.428 0.475 [1 per cell]
Ni: 0.060 0.914 0.501 [1 per cell]
Ni: 0.994 0.211 0.258 [1 per cell]
O: 0.141 0.584 0.599 [1 per cell]
O: 0.206 0.028 0.632 [1 per cell]
O: 0.228 0.889 0.321 [1 per cell]
O: 0.240 0.361 0.314 [1 per cell]
O: 0.762 0.190 0.455 [1 per cell]
O: 0.780 0.870 0.909 [1 per cell]
O: 0.790 0.524 0.181 [1 per cell]
O: 0.795 0.055 0.173 [1 per cell]
F: 0.153 0.262 0.906 [1 per cell]
F: 0.301 0.662 0.030 [1 per cell]
F: 0.629 0.462 0.767 [1 per cell]
F: 0.685 0.713 0.449 [1 per cell]